# Ba5V5O14
Simulated X-ray powder pattern, a wavelength of 1.5418 Å. Input: the GGA+U geometry in Alexandria.
Kinematic intensities with the Lorentz-polarization factor, no thermal factor.

Structural model:
```
data_Ba5V5O14
_space_group_name_H-M_alt 'P 1'
_space_group_IT_number 1
_cell_length_a 5.8821
_cell_length_b 5.8821
_cell_length_c 12.2775
_cell_angle_alpha 90.00
_cell_angle_beta 90.00
_cell_angle_gamma 120.00
loop_
_space_group_symop_operation_xyz
'x,y,z'
loop_
_atom_site_label
_atom_site_fract_x
_atom_site_fract_y
_atom_site_fract_z
Ba1 0.0000 0.0000 0.0000
Ba2 0.3333 0.6667 0.4325
Ba3 0.3333 0.6667 0.7593
Ba4 0.6667 0.3333 0.2407
Ba5 0.6667 0.3333 0.5675
V1 0.0000 0.0000 0.2856
V2 0.0000 0.0000 0.5000
V3 0.0000 0.0000 0.7144
V4 0.3333 0.6667 0.1298
V5 0.6667 0.3333 0.8702
O1 0.1525 0.3051 0.6032
O2 0.1525 0.8475 0.6032
O3 0.1701 0.3402 0.1819
O4 0.1701 0.8299 0.1819
O5 0.3051 0.1525 0.3968
O6 0.3333 0.6667 0.9898
O7 0.3402 0.1701 0.8181
O8 0.6598 0.8299 0.1819
O9 0.6667 0.3333 0.0102
O10 0.6949 0.8475 0.6032
O11 0.8299 0.1701 0.8181
O12 0.8299 0.6598 0.8181
O13 0.8475 0.1525 0.3968
O14 0.8475 0.6949 0.3968
```

Main lines, in order of rising 2θ (10° ≤ 2θ ≤ 90°):
27.97 deg, 3.190 Å, I = 84, (0 1 3)
30.39 deg, 2.941 Å, I = 100, (1 1 0)
41.77 deg, 2.162 Å, I = 44, (2 0 3)
42.57 deg, 2.124 Å, I = 19, (1 1 4)
47.89 deg, 1.899 Å, I = 19, (1 0 6)
52.53 deg, 1.742 Å, I = 27, (1 2 3)
54.00 deg, 1.698 Å, I = 19, (3 0 0)
63.24 deg, 1.470 Å, I = 19, (2 2 0)
66.70 deg, 1.402 Å, I = 14, (2 1 6)
70.52 deg, 1.335 Å, I = 12, (3 1 3)